Structure and simulated powder diffractogram of PaAlCu2 (a GGA-PBE-relaxed structure; CuKα).
Peak positions follow from Bragg's law for the DFT cell and can differ from measured ones.

Main lines, most intense first (2θ = 15–90°):
hkl  two_theta  d (Å)  I/Imax
2 2 0  39.02  2.308  100
1 1 1  23.60  3.770  61
4 2 2  70.68  1.333  34
3 1 1  46.11  1.969  33
4 0 0  56.37  1.632  17
3 3 1  61.95  1.498  14
5 3 1  88.62  1.104  11
4 4 0  83.82  1.154  11
5 1 1  75.69  1.257  11
2 0 0  27.32  3.265  10
4 2 0  63.75  1.460  5
2 2 2  48.29  1.885  3

Atomic structure:
```
data_PaAlCu2
_chemical_formula_sum 'Pa4 Al4 Cu8'
_cell_length_a 6.5291
_cell_length_b 6.5291
_cell_length_c 6.5291
_cell_angle_alpha 90.00
_cell_angle_beta 90.00
_cell_angle_gamma 90.00
_symmetry_space_group_name_H-M 'F m -3 m'
_symmetry_Int_Tables_number 225
_symmetry_space_group_name_Hall '-F 4 2 3'
loop_
_atom_site_label
_atom_site_type_symbol
_atom_site_fract_x
_atom_site_fract_y
_atom_site_fract_z
Pa1 Pa 0.0000 0.0000 0.0000
Al1 Al 0.0000 0.0000 0.5000
Cu1 Cu 0.2500 0.2500 0.2500
```